Li2MgBe2O4: computed X-ray diffraction stick pattern (Cu Kα, 1.54184 Å), based on DFT lattice parameters and positions (PBE).
Lines closer than 0.1° are merged.

Cell and atoms:
```
data_Li2MgBe2O4
_chemical_formula_sum 'Li4 Mg2 Be4 O8'
_symmetry_space_group_name_H-M 'C 1 2/m 1'
_symmetry_Int_Tables_number 12
_cell_length_a 9.6660
_cell_length_b 2.8922
_cell_length_c 7.3364
_cell_angle_alpha 90.00
_cell_angle_beta 129.70
_cell_angle_gamma 90.00
loop_
_symmetry_equiv_pos_as_xyz
'x,y,z'
'-x,-y,-z'
'-x,y,-z'
'x,-y,z'
'x+1/2,y+1/2,z'
'-x+1/2,-y+1/2,-z'
'-x+1/2,y+1/2,-z'
'x+1/2,-y+1/2,z'
loop_
_atom_site_label
_atom_site_type_symbol
_atom_site_fract_x
_atom_site_fract_y
_atom_site_fract_z
Li1 Li 0.1730 0.0000 0.3031
Mg1 Mg 0.0000 0.0000 0.5000
Be1 Be 0.1487 0.5000 0.8636
O1 O 0.0594 0.5000 0.3595
O2 O 0.2440 0.0000 0.8514
```

Most intense lines, 15° ≤ 2θ ≤ 90°, low angle first:
two_theta  d/Å  I_rel
15.7  5.644  249
18.4  4.831  1000
33.4  2.686  170
36.5  2.465  373
42.9  2.107  778
49.1  1.854  145
51.7  1.769  123
52.5  1.744  134
62.3  1.489  192
64.4  1.446  117

***

Ti6HPb2O: computed X-ray diffraction stick pattern (Cu Kα, 1.54184 Å), based on DFT lattice parameters and positions (PBE).
Lines closer than 0.1° are merged.

Cell and atoms:
```
data_Ti6HPb2O
_chemical_formula_sum 'Ti24 H4 Pb8 O4'
_symmetry_space_group_name_H-M 'F m m m'
_symmetry_Int_Tables_number 69
_symmetry_space_group_name_Hall '-F 2 2'
_cell_length_a 8.3884
_cell_length_b 8.4323
_cell_length_c 8.5309
_cell_angle_alpha 90.00
_cell_angle_beta 90.00
_cell_angle_gamma 90.00
loop_
_atom_site_label
_atom_site_type_symbol
_atom_site_fract_x
_atom_site_fract_y
_atom_site_fract_z
Ti1 Ti 0.0000 0.0000 0.2449
Ti2 Ti 0.0000 0.2447 0.0000
Ti3 Ti 0.2446 0.0000 0.0000
H1 H 0.0000 0.0000 0.0000
Pb1 Pb 0.2500 0.2500 0.2500
O1 O 0.0000 0.0000 0.5000
```

Most intense lines, 15° ≤ 2θ ≤ 90°, low angle first:
two_theta  d/Å  I_rel
20.8  4.265  187
21.1  4.216  182
21.2  4.194  180
29.8  2.995  420
30.1  2.973  206
36.8  2.439  1000
42.4  2.133  185
42.9  2.108  179
43.1  2.097  176
73.9  1.283  126

***

TaHF6: computed X-ray diffraction stick pattern (Cu Kα, 1.54184 Å), based on DFT lattice parameters and positions (PBE).
Lines closer than 0.1° are merged.

Cell and atoms:
```
data_TaHF6
_chemical_formula_sum 'Ta1 H1 F6'
_symmetry_space_group_name_H-M 'P -1'
_symmetry_Int_Tables_number 2
_cell_length_a 5.2333
_cell_length_b 5.2669
_cell_length_c 5.3506
_cell_angle_alpha 111.04
_cell_angle_beta 115.65
_cell_angle_gamma 97.12
loop_
_symmetry_equiv_pos_as_xyz
'x,y,z'
'-x,-y,-z'
loop_
_atom_site_label
_atom_site_type_symbol
_atom_site_fract_x
_atom_site_fract_y
_atom_site_fract_z
Ta1 Ta 0.0000 0.0000 0.0000
H1 H 0.0000 0.5000 0.5000
F1 F 0.0450 0.2903 0.3972
F2 F 0.1991 0.8045 0.2187
F3 F 0.3737 0.2304 0.1034
```

Most intense lines, 15° ≤ 2θ ≤ 90°, low angle first:
two_theta  d/Å  I_rel
19.1  4.637  492
20.0  4.441  1000
20.8  4.279  912
22.6  3.927  281
25.7  3.468  246
29.9  2.991  219
34.5  2.601  256
39.0  2.307  154
41.7  2.168  158
42.2  2.140  133

***

Rb6TlSb2: computed X-ray diffraction stick pattern (Cu Kα, 1.54184 Å), based on DFT lattice parameters and positions (PBE).
Lines closer than 0.1° are merged.

Cell and atoms:
```
data_Rb6TlSb2
_chemical_formula_sum 'Rb18 Tl3 Sb6'
_symmetry_space_group_name_H-M 'R -3 m'
_symmetry_Int_Tables_number 166
_symmetry_space_group_name_Hall '-R 3 2"'
_cell_length_a 6.3209
_cell_length_b 6.3209
_cell_length_c 38.6909
_cell_angle_alpha 90.00
_cell_angle_beta 90.00
_cell_angle_gamma 120.00
loop_
_atom_site_label
_atom_site_type_symbol
_atom_site_fract_x
_atom_site_fract_y
_atom_site_fract_z
Rb1 Rb 0.0000 0.0000 0.0788
Rb2 Rb 0.0000 0.0000 0.2078
Rb3 Rb 0.0000 0.0000 0.3091
Tl1 Tl 0.0000 0.0000 0.5000
Sb1 Sb 0.0000 0.0000 0.4081
```

Most intense lines, 15° ≤ 2θ ≤ 90°, low angle first:
two_theta  d/Å  I_rel
16.4  5.420  173
22.9  3.889  95
28.2  3.160  1000
30.2  2.959  142
40.4  2.234  144
50.0  1.825  295
57.9  1.592  112
58.4  1.580  89
66.1  1.413  80
80.4  1.194  110